1.
For PrEr2S4, a DFT-relaxed cell (GGA-PBE, Alexandria) gives the calculated PXRD pattern in this record (Cu Kα X-rays).
Kinematic intensities with the Lorentz-polarization factor, no thermal factor.

Peak list (6 most intense, 10 to 90 degrees two-theta, in order of rising 2θ)
2θ 24.5, I = 100
2θ 27.7, I = 54
2θ 31.9, I = 37
2θ 34.0, I = 51
2θ 42.1, I = 33
2θ 47.1, I = 54

Structure:
a = 6.728 Å, b = 6.728 Å, c = 13.182 Å
α = 90.00°, β = 90.00°, γ = 146.65°
Fractional coordinates of all 14 atoms:
1 Pr 0.123 0.877 0.750
2 Pr 0.877 0.123 0.250
3 Er 0.370 0.630 0.568
4 Er 0.370 0.630 0.932
5 Er 0.630 0.370 0.068
6 Er 0.630 0.370 0.432
7 S 0.000 0.000 0.000
8 S 0.000 0.000 0.500
9 S 0.272 0.728 0.118
10 S 0.272 0.728 0.382
11 S 0.458 0.542 0.750
12 S 0.542 0.458 0.250
13 S 0.728 0.272 0.618
14 S 0.728 0.272 0.882

=====

2.
For Ac2SiAsPt6, a DFT-relaxed cell (GGA-PBE, Alexandria) gives the calculated PXRD pattern in this record (Cu Kα X-rays).
Kinematic intensities with the Lorentz-polarization factor, no thermal factor.

Peak list (6 most intense, 10 to 90 degrees two-theta, in order of rising 2θ)
2θ 33.8, I = 100
2θ 38.8, I = 18
2θ 42.2, I = 39
2θ 54.3, I = 22
2θ 58.7, I = 20
2θ 71.8, I = 23

Structure:
a = 6.983 Å, b = 6.983 Å, c = 6.983 Å
α = 128.63°, β = 128.63°, γ = 75.61°
Fractional coordinates of all 10 atoms:
1 Ac 0.000 0.500 0.500
2 Ac 0.500 0.000 0.500
3 Si 0.344 0.344 0.000
4 As 0.866 0.866 0.000
5 Pt 0.084 0.084 0.000
6 Pt 0.497 0.497 0.505
7 Pt 0.497 0.992 0.000
8 Pt 0.560 0.560 0.000
9 Pt 0.992 0.497 0.000
10 Pt 0.992 0.992 0.495

=====

3.
For CaHgI2O8, a DFT-relaxed cell (GGA-PBE, Alexandria) gives the calculated PXRD pattern in this record (Cu Kα X-rays).
Kinematic intensities with the Lorentz-polarization factor, no thermal factor.

Peak list (6 most intense, 10 to 90 degrees two-theta, in order of rising 2θ)
2θ 23.6, I = 100
2θ 30.6, I = 83
2θ 33.6, I = 24
2θ 46.1, I = 66
2θ 58.2, I = 34
2θ 78.9, I = 26

Structure:
a = 6.377 Å, b = 6.377 Å, c = 6.377 Å
α = 107.44°, β = 107.44°, γ = 113.62°
Fractional coordinates of all 12 atoms:
1 Ca 0.000 0.000 0.000
2 Hg 0.750 0.250 0.500
3 I 0.250 0.750 0.500
4 I 0.500 0.500 0.000
5 O 0.081 0.394 0.312
6 O 0.081 0.769 0.688
7 O 0.128 0.315 0.813
8 O 0.231 0.919 0.312
9 O 0.503 0.315 0.187
10 O 0.606 0.919 0.688
11 O 0.685 0.497 0.813
12 O 0.685 0.872 0.187

=====

4.
For Pr12Os5C15, a DFT-relaxed cell (GGA-PBE, Alexandria) gives the calculated PXRD pattern in this record (Cu Kα X-rays).
Kinematic intensities with the Lorentz-polarization factor, no thermal factor.

Peak list (6 most intense, 10 to 90 degrees two-theta, in order of rising 2θ)
2θ 29.7, I = 100
2θ 32.6, I = 25
2θ 33.2, I = 41
2θ 33.7, I = 41
2θ 36.5, I = 19
2θ 48.1, I = 30

Structure:
a = 11.058 Å, b = 11.058 Å, c = 5.400 Å
α = 90.00°, β = 90.00°, γ = 120.00°
Fractional coordinates of all 32 atoms:
1 Pr 0.000 0.428 0.000
2 Pr 0.000 0.793 0.000
3 Pr 0.184 0.726 0.500
4 Pr 0.207 0.207 0.000
5 Pr 0.274 0.458 0.500
6 Pr 0.428 0.000 0.000
7 Pr 0.458 0.274 0.500
8 Pr 0.542 0.816 0.500
9 Pr 0.572 0.572 0.000
10 Pr 0.726 0.184 0.500
11 Pr 0.793 0.000 0.000
12 Pr 0.816 0.542 0.500
13 Os 0.000 0.161 0.500
14 Os 0.161 0.000 0.500
15 Os 0.333 0.667 0.000
16 Os 0.667 0.333 0.000
17 Os 0.839 0.839 0.500
18 C 0.000 0.331 0.500
19 C 0.000 0.452 0.500
20 C 0.000 0.802 0.500
21 C 0.187 0.711 0.000
22 C 0.198 0.198 0.500
23 C 0.289 0.476 0.000
24 C 0.331 0.000 0.500
25 C 0.452 0.000 0.500
26 C 0.476 0.289 0.000
27 C 0.524 0.813 0.000
28 C 0.548 0.548 0.500
29 C 0.669 0.669 0.500
30 C 0.711 0.187 0.000
31 C 0.802 0.000 0.500
32 C 0.813 0.524 0.000

=====

5.
For Li3Sb2Pt3, a DFT-relaxed cell (GGA-PBE, Alexandria) gives the calculated PXRD pattern in this record (Cu Kα X-rays).
Kinematic intensities with the Lorentz-polarization factor, no thermal factor.

Peak list (6 most intense, 10 to 90 degrees two-theta, in order of rising 2θ)
2θ 24.1, I = 48
2θ 27.9, I = 39
2θ 39.6, I = 98
2θ 40.0, I = 100
2θ 57.6, I = 33
2θ 72.4, I = 33

Structure:
a = 7.910 Å, b = 7.910 Å, c = 7.910 Å
α = 33.10°, β = 33.10°, γ = 33.10°
Fractional coordinates of all 8 atoms:
1 Li 0.000 0.000 0.000
2 Li 0.130 0.130 0.130
3 Li 0.504 0.504 0.504
4 Sb 0.255 0.255 0.255
5 Sb 0.750 0.750 0.750
6 Pt 0.383 0.383 0.383
7 Pt 0.626 0.626 0.626
8 Pt 0.871 0.871 0.871

=====

6.
For LuAlInAg, a DFT-relaxed cell (GGA-PBE, Alexandria) gives the calculated PXRD pattern in this record (Cu Kα X-rays).
Kinematic intensities with the Lorentz-polarization factor, no thermal factor.

Peak list (6 most intense, 10 to 90 degrees two-theta, in order of rising 2θ)
2θ 22.1, I = 27
2θ 36.5, I = 100
2θ 43.0, I = 15
2θ 52.5, I = 17
2θ 65.6, I = 35
2θ 88.7, I = 16

Structure:
a = 4.930 Å, b = 4.930 Å, c = 4.930 Å
α = 60.00°, β = 60.00°, γ = 60.00°
Fractional coordinates of all 4 atoms:
1 Lu 0.000 0.000 0.000
2 Al 0.500 0.500 0.500
3 In 0.750 0.750 0.750
4 Ag 0.250 0.250 0.250

=====

7.
For TmMnTc, a DFT-relaxed cell (GGA-PBE, Alexandria) gives the calculated PXRD pattern in this record (Cu Kα X-rays).
Kinematic intensities with the Lorentz-polarization factor, no thermal factor.

Peak list (6 most intense, 10 to 90 degrees two-theta, in order of rising 2θ)
2θ 30.0, I = 31
2θ 33.2, I = 16
2θ 38.4, I = 100
2θ 41.2, I = 47
2θ 53.9, I = 17
2θ 73.2, I = 29

Structure:
a = 5.822 Å, b = 5.822 Å, c = 5.822 Å
α = 149.14°, β = 149.14°, γ = 44.20°
Fractional coordinates of all 3 atoms:
1 Tm 0.000 0.000 0.000
2 Mn 0.306 0.306 0.000
3 Tc 0.696 0.696 0.000

=====

8.
For TbScGa2Pt2, a DFT-relaxed cell (GGA-PBE, Alexandria) gives the calculated PXRD pattern in this record (Cu Kα X-rays).
Kinematic intensities with the Lorentz-polarization factor, no thermal factor.

Peak list (6 most intense, 10 to 90 degrees two-theta, in order of rising 2θ)
2θ 26.8, I = 82
2θ 35.8, I = 100
2θ 40.6, I = 92
2θ 49.4, I = 30
2θ 55.2, I = 29
2θ 70.8, I = 27

Structure:
a = 4.439 Å, b = 4.439 Å, c = 6.627 Å
α = 90.00°, β = 90.00°, γ = 120.00°
Fractional coordinates of all 6 atoms:
1 Tb 0.000 0.000 0.000
2 Sc 0.000 0.000 0.500
3 Ga 0.333 0.667 0.284
4 Ga 0.667 0.333 0.716
5 Pt 0.333 0.667 0.721
6 Pt 0.667 0.333 0.279